1.
The following is a calculated powder diffraction line list of YAlTl2Se4. It was derived from a PBE-relaxed structure, using Cu Kα, 1.54184 Å.

Largest 8 diffraction maxima, sorted by position, 2θ = 15–90°:
hkl  d [Å]  I (rel.)
2 1 1  3.570  18
0 0 4  3.010  50
2 2 0  2.995  100
2 1 3  2.735  21
0 4 0  2.168  17
2 2 4  2.123  69
4 0 0  2.071  18
4 0 4  1.706  18

Atomic structure:
```
data_YAlTl2Se4
_chemical_formula_sum 'Y4 Al4 Tl8 Se16'
_symmetry_space_group_name_H-M 'I m m a'
_symmetry_Int_Tables_number 74
_symmetry_space_group_name_Hall '-I 2b 2'
_cell_length_a 8.285
_cell_length_b 8.670
_cell_length_c 12.039
_cell_angle_alpha 90.00
_cell_angle_beta 90.00
_cell_angle_gamma 90.00
loop_
_atom_site_label
_atom_site_type_symbol
_atom_site_fract_x
_atom_site_fract_y
_atom_site_fract_z
Y1 Y 0.000 0.000 0.000
Al1 Al 0.250 0.250 0.250
Tl1 Tl 0.000 0.000 0.500
Tl2 Tl 0.250 0.250 0.750
Se1 Se 0.000 0.049 0.241
Se2 Se 0.228 0.250 0.027
```


2.
The following is a calculated powder diffraction line list of Y3AlTl4Se8. It was derived from a PBE-relaxed structure, using Cu Kα, 1.54184 Å.

Largest 8 diffraction maxima, sorted by position, 2θ = 15–90°:
hkl  d [Å]  I (rel.)
0 2 1  3.521  16
0 2 4  3.039  100
2 0 5  2.830  20
2 0 8  2.254  35
2 2 0  2.057  35
4 0 4  1.703  18
2 2 9  1.610  11
2 4 4  1.312  14

Atomic structure:
```
data_Y3AlTl4Se8
_chemical_formula_sum 'Y9 Al3 Tl12 Se24'
_symmetry_space_group_name_H-M 'R -3 m'
_symmetry_Int_Tables_number 166
_symmetry_space_group_name_Hall '-R 3 2"'
_cell_length_a 8.2262
_cell_length_b 8.2262
_cell_length_c 23.2921
_cell_angle_alpha 90.00
_cell_angle_beta 90.00
_cell_angle_gamma 120.00
loop_
_atom_site_label
_atom_site_type_symbol
_atom_site_fract_x
_atom_site_fract_y
_atom_site_fract_z
Y1 Y 0.0000 0.5000 0.0000
Al1 Al 0.0000 0.0000 0.0000
Tl1 Tl 0.0000 0.0000 0.5000
Tl2 Tl 0.0000 0.5000 0.5000
Se1 Se 0.0000 0.0000 0.2643
Se2 Se 0.0227 0.5114 0.7316
```